Starting from a crystal structure in Alexandria, relaxed with PBE, the powder diffractogram of CeTmCd6 was calculated for λ = 1.5418 Å (Cu Kα).

The 10 most intense peaks (2θ from 10° to 80°), in order of rising 2θ:
d = 3.011 Å, I 12
d = 2.749 Å, I 19
d = 2.718 Å, I 13
d = 2.565 Å, I 100
d = 2.451 Å, I 28
d = 2.398 Å, I 21
d = 1.829 Å, I 11
d = 1.633 Å, I 9
d = 1.436 Å, I 16
d = 1.359 Å, I 9

Structure:
```
CeTmCd6
1.0
4.9011 0.0000 0.0000
0.0000 3.5976 5.4989
0.0000 -3.5976 5.4989
Ce Tm Cd
1 1 6
direct
0.0000 0.0000 0.0000
0.5000 0.2738 0.2738
0.0000 0.4607 0.4607
0.0000 0.5145 0.9468
0.0000 0.9468 0.5145
0.5000 0.3289 0.7577
0.5000 0.7577 0.3289
0.5000 0.8081 0.8081
```